# 1
Starting from a PBE-relaxed structure, the powder XRD pattern of HoAlZnAu was calculated for Cu Kα, 1.54184 Å.

Peak list (9 most intense, 5° ≤ 2θ ≤ 70°, low angle first)
| 2θ/deg | d_spacing | I (rel.) |
| --- | --- | --- |
| 22.90 | 3.883 | 38 |
| 26.50 | 3.363 | 4 |
| 37.83 | 2.378 | 100 |
| 44.69 | 2.028 | 21 |
| 46.79 | 1.942 | 1 |
| 54.58 | 1.681 | 17 |
| 59.95 | 1.543 | 9 |
| 61.67 | 1.504 | 1 |
| 68.32 | 1.373 | 35 |

Atomic structure:
Unit cell a=6.726 b=6.726 c=6.726 alpha=90.00 beta=90.00 gamma=90.00
Fractional positions:
Ho: 0.000 0.000 0.000
Ho: 0.000 0.500 0.500
Ho: 0.500 0.000 0.500
Ho: 0.500 0.500 0.000
Al: 0.000 0.000 0.500
Al: 0.000 0.500 0.000
Al: 0.500 0.000 0.000
Al: 0.500 0.500 0.500
Zn: 0.250 0.250 0.250
Zn: 0.250 0.750 0.750
Zn: 0.750 0.250 0.750
Zn: 0.750 0.750 0.250
Au: 0.250 0.250 0.750
Au: 0.250 0.750 0.250
Au: 0.750 0.250 0.250
Au: 0.750 0.750 0.750

---

# 2
Starting from a PBE-relaxed structure, the powder XRD pattern of Sr2SbRuO6 was calculated for Cu Kα, 1.54184 Å.

Peak list (10 most intense, 5° ≤ 2θ ≤ 70°, low angle first)
| 2θ/deg | d_spacing | I (rel.) |
| --- | --- | --- |
| 22.00 | 4.040 | 12 |
| 31.27 | 2.861 | 100 |
| 31.36 | 2.853 | 100 |
| 44.83 | 2.022 | 38 |
| 44.95 | 2.017 | 20 |
| 55.62 | 1.653 | 24 |
| 55.74 | 1.649 | 37 |
| 55.88 | 1.645 | 22 |
| 65.29 | 1.429 | 11 |
| 65.44 | 1.426 | 16 |

Atomic structure:
Unit cell a=5.705 b=5.731 c=9.867 alpha=90.00 beta=125.16 gamma=90.00
Fractional positions:
Sr: 0.243 0.034 0.250
Sr: 0.243 0.466 0.750
Sr: 0.757 0.534 0.250
Sr: 0.757 0.966 0.750
Sb: 0.500 0.000 0.000
Sb: 0.500 0.500 0.500
Ru: 0.000 0.000 0.500
Ru: 0.000 0.500 0.000
O: 0.178 0.209 0.963
O: 0.178 0.291 0.463
O: 0.252 0.716 0.961
O: 0.252 0.784 0.461
O: 0.325 0.016 0.753
O: 0.325 0.484 0.253
O: 0.675 0.516 0.747
O: 0.675 0.984 0.247
O: 0.748 0.216 0.539
O: 0.748 0.284 0.039
O: 0.822 0.709 0.537
O: 0.822 0.791 0.037

---

# 3
Starting from a PBE-relaxed structure, the powder XRD pattern of LiAcAl3Ag was calculated for Cu Kα, 1.54184 Å.

Peak list (10 most intense, 5° ≤ 2θ ≤ 70°, low angle first)
| 2θ/deg | d_spacing | I (rel.) |
| --- | --- | --- |
| 21.25 | 4.182 | 100 |
| 23.87 | 3.729 | 15 |
| 28.59 | 3.122 | 20 |
| 29.11 | 3.068 | 56 |
| 35.07 | 2.559 | 30 |
| 37.57 | 2.394 | 13 |
| 41.22 | 2.190 | 27 |
| 41.62 | 2.170 | 28 |
| 45.85 | 1.979 | 25 |
| 46.51 | 1.952 | 13 |

Atomic structure:
Unit cell a=7.678 b=7.678 c=6.244 alpha=90.00 beta=90.00 gamma=132.82
Fractional positions:
Li: 0.140 0.860 0.750
Li: 0.860 0.140 0.250
Ac: 0.199 0.801 0.250
Ac: 0.801 0.199 0.750
Al: 0.211 0.211 0.000
Al: 0.211 0.211 0.500
Al: 0.378 0.622 0.750
Al: 0.622 0.378 0.250
Al: 0.789 0.789 0.000
Al: 0.789 0.789 0.500
Ag: 0.416 0.584 0.250
Ag: 0.584 0.416 0.750

---

# 4
Starting from a PBE-relaxed structure, the powder XRD pattern of Tb3Al3Zn8 was calculated for Cu Kα, 1.54184 Å.

Peak list (10 most intense, 5° ≤ 2θ ≤ 70°, low angle first)
| 2θ/deg | d_spacing | I (rel.) |
| --- | --- | --- |
| 29.81 | 2.997 | 22 |
| 34.09 | 2.630 | 19 |
| 35.17 | 2.552 | 45 |
| 35.37 | 2.538 | 100 |
| 36.65 | 2.452 | 18 |
| 42.28 | 2.138 | 29 |
| 43.04 | 2.102 | 15 |
| 55.37 | 1.659 | 13 |
| 56.29 | 1.634 | 12 |
| 68.90 | 1.363 | 16 |

Atomic structure:
Unit cell a=8.190 b=8.190 c=8.190 alpha=149.74 beta=108.75 gamma=79.32
Fractional positions:
Tb: 0.000 0.000 0.000
Tb: 0.304 0.304 0.000
Tb: 0.696 0.696 0.000
Al: 0.293 0.500 0.793
Al: 0.500 0.000 0.500
Al: 0.707 0.500 0.207
Zn: 0.030 0.662 0.368
Zn: 0.136 0.860 0.275
Zn: 0.294 0.662 0.632
Zn: 0.415 0.140 0.275
Zn: 0.585 0.860 0.725
Zn: 0.706 0.338 0.368
Zn: 0.864 0.140 0.725
Zn: 0.970 0.338 0.632

---

# 5
Starting from a PBE-relaxed structure, the powder XRD pattern of NaLaHo4Se8 was calculated for Cu Kα, 1.54184 Å.

Peak list (10 most intense, 5° ≤ 2θ ≤ 70°, low angle first)
| 2θ/deg | d_spacing | I (rel.) |
| --- | --- | --- |
| 12.49 | 7.088 | 22 |
| 12.82 | 6.903 | 30 |
| 24.22 | 3.674 | 25 |
| 24.58 | 3.622 | 54 |
| 24.75 | 3.597 | 29 |
| 29.69 | 3.009 | 100 |
| 38.56 | 2.335 | 23 |
| 38.92 | 2.314 | 24 |
| 42.06 | 2.148 | 67 |
| 42.93 | 2.107 | 66 |

Atomic structure:
Unit cell a=8.597 b=8.597 c=8.597 alpha=58.70 beta=58.70 gamma=58.70
Fractional positions:
Na: 0.000 0.000 0.000
La: 0.632 0.632 0.632
Ho: 0.113 0.633 0.633
Ho: 0.255 0.255 0.255
Ho: 0.633 0.113 0.633
Ho: 0.633 0.633 0.113
Se: 0.378 0.378 0.859
Se: 0.378 0.859 0.378
Se: 0.386 0.386 0.386
Se: 0.407 0.875 0.875
Se: 0.859 0.378 0.378
Se: 0.867 0.867 0.867
Se: 0.875 0.407 0.875
Se: 0.875 0.875 0.407

---

# 6
Starting from a PBE-relaxed structure, the powder XRD pattern of Zr4HgBr8 was calculated for Cu Kα, 1.54184 Å.

Peak list (10 most intense, 5° ≤ 2θ ≤ 70°, low angle first)
| 2θ/deg | d_spacing | I (rel.) |
| --- | --- | --- |
| 26.95 | 3.308 | 22 |
| 28.19 | 3.165 | 37 |
| 31.40 | 2.849 | 88 |
| 31.96 | 2.801 | 76 |
| 34.16 | 2.625 | 26 |
| 35.98 | 2.496 | 60 |
| 36.86 | 2.439 | 37 |
| 37.02 | 2.428 | 100 |
| 47.84 | 1.901 | 39 |
| 51.99 | 1.759 | 27 |

Atomic structure:
Unit cell a=10.091 b=10.091 c=13.891 alpha=132.06 beta=132.06 gamma=20.07
Fractional positions:
Zr: 0.000 0.000 0.000
Zr: 0.132 0.132 0.641
Zr: 0.511 0.511 0.388
Zr: 0.643 0.643 0.031
Hg: 0.822 0.822 0.516
Br: 0.143 0.143 0.456
Br: 0.169 0.169 0.903
Br: 0.184 0.184 0.217
Br: 0.459 0.459 0.814
Br: 0.474 0.474 0.127
Br: 0.500 0.500 0.574
Br: 0.780 0.780 0.790
Br: 0.863 0.863 0.241

---

# 7
Starting from a PBE-relaxed structure, the powder XRD pattern of Pm5Te4I was calculated for Cu Kα, 1.54184 Å.

Peak list (10 most intense, 5° ≤ 2θ ≤ 70°, low angle first)
| 2θ/deg | d_spacing | I (rel.) |
| --- | --- | --- |
| 27.77 | 3.212 | 47 |
| 28.41 | 3.142 | 100 |
| 36.83 | 2.440 | 7 |
| 40.15 | 2.246 | 69 |
| 40.61 | 2.222 | 38 |
| 49.91 | 1.827 | 37 |
| 58.78 | 1.571 | 13 |
| 65.24 | 1.430 | 11 |
| 66.23 | 1.411 | 16 |
| 66.55 | 1.405 | 18 |

Atomic structure:
Unit cell a=16.365 b=16.365 c=16.365 alpha=164.40 beta=164.40 gamma=22.14
Fractional positions:
Pm: 0.000 0.000 0.000
Pm: 0.192 0.192 0.000
Pm: 0.393 0.393 0.000
Pm: 0.607 0.607 0.000
Pm: 0.808 0.808 0.000
Te: 0.096 0.096 0.000
Te: 0.295 0.295 0.000
Te: 0.705 0.705 0.000
Te: 0.904 0.904 0.000
I: 0.500 0.500 0.000

---

What did the sixth record say?
Starting from a PBE-relaxed structure, the powder XRD pattern of Zr4HgBr8 was calculated for Cu Kα, 1.54184 Å.

Peak list (10 most intense, 5° ≤ 2θ ≤ 70°, low angle first)
| 2θ/deg | d_spacing | I (rel.) |
| --- | --- | --- |
| 26.95 | 3.308 | 22 |
| 28.19 | 3.165 | 37 |
| 31.40 | 2.849 | 88 |
| 31.96 | 2.801 | 76 |
| 34.16 | 2.625 | 26 |
| 35.98 | 2.496 | 60 |
| 36.86 | 2.439 | 37 |
| 37.02 | 2.428 | 100 |
| 47.84 | 1.901 | 39 |
| 51.99 | 1.759 | 27 |

Atomic structure:
Unit cell a=10.091 b=10.091 c=13.891 alpha=132.06 beta=132.06 gamma=20.07
Fractional positions:
Zr: 0.000 0.000 0.000
Zr: 0.132 0.132 0.641
Zr: 0.511 0.511 0.388
Zr: 0.643 0.643 0.031
Hg: 0.822 0.822 0.516
Br: 0.143 0.143 0.456
Br: 0.169 0.169 0.903
Br: 0.184 0.184 0.217
Br: 0.459 0.459 0.814
Br: 0.474 0.474 0.127
Br: 0.500 0.500 0.574
Br: 0.780 0.780 0.790
Br: 0.863 0.863 0.241

---

What did the fourth record say?
Starting from a PBE-relaxed structure, the powder XRD pattern of Tb3Al3Zn8 was calculated for Cu Kα, 1.54184 Å.

Peak list (10 most intense, 5° ≤ 2θ ≤ 70°, low angle first)
| 2θ/deg | d_spacing | I (rel.) |
| --- | --- | --- |
| 29.81 | 2.997 | 22 |
| 34.09 | 2.630 | 19 |
| 35.17 | 2.552 | 45 |
| 35.37 | 2.538 | 100 |
| 36.65 | 2.452 | 18 |
| 42.28 | 2.138 | 29 |
| 43.04 | 2.102 | 15 |
| 55.37 | 1.659 | 13 |
| 56.29 | 1.634 | 12 |
| 68.90 | 1.363 | 16 |

Atomic structure:
Unit cell a=8.190 b=8.190 c=8.190 alpha=149.74 beta=108.75 gamma=79.32
Fractional positions:
Tb: 0.000 0.000 0.000
Tb: 0.304 0.304 0.000
Tb: 0.696 0.696 0.000
Al: 0.293 0.500 0.793
Al: 0.500 0.000 0.500
Al: 0.707 0.500 0.207
Zn: 0.030 0.662 0.368
Zn: 0.136 0.860 0.275
Zn: 0.294 0.662 0.632
Zn: 0.415 0.140 0.275
Zn: 0.585 0.860 0.725
Zn: 0.706 0.338 0.368
Zn: 0.864 0.140 0.725
Zn: 0.970 0.338 0.632